# TiMn2V
Computed X-ray diffraction stick pattern, CuKα. Input: a cell relaxed with PBE.
Peak positions follow from Bragg's law for the DFT cell and can differ from measured ones.

Top 4 peaks for 10 to 90 degrees two-theta, low angle first:
- d 2.924, I 1, (2 0 0)
- d 2.068, I 100, (2 2 0)
- d 1.462, I 15, (4 0 0)
- d 1.194, I 28, (4 2 2)

Cell and atoms:
Unit cell a=5.8480 b=5.8480 c=5.8480 alpha=90.00 beta=90.00 gamma=90.00
Space group Fm-3m (No. 225)
Inequivalent atoms, fractional coordinates:
1 Ti 0.0000 0.0000 0.0000 (multiplicity 4)
2 Mn 0.2500 0.2500 0.2500 (multiplicity 8)
3 V 0.0000 0.0000 0.5000 (multiplicity 4)

# TiMnV
Computed X-ray diffraction stick pattern, CuKα. Input: a cell relaxed with PBE.
Peak positions follow from Bragg's law for the DFT cell and can differ from measured ones.

Top 10 peaks for 10 to 90 degrees two-theta, low angle first:
- d 6.130, I 8, (0 0 2)
- d 2.231, I 31, (0 2 0)
- d 2.115, I 100, (1 1 3)
- d 2.043, I 20, (0 0 6)
- d 1.507, I 14, (0 2 6)
- d 1.485, I 7, (2 0 0)
- d 1.265, I 17, (1 3 3)
- d 1.236, I 8, (2 2 0)
- d 1.201, I 6, (2 0 6)
- d 1.193, I 10, (1 1 9)

Cell and atoms:
Unit cell a=2.9694 b=4.4622 c=12.2604 alpha=90.00 beta=90.00 gamma=90.00
Space group Fmm2 (No. 42)
Inequivalent atoms, fractional coordinates:
1 Ti 0.0000 0.0000 0.0000 (multiplicity 4)
2 Mn 0.0000 0.0000 0.6639 (multiplicity 4)
3 V 0.0000 0.0000 0.3104 (multiplicity 4)

# Mn3Tl
Computed X-ray diffraction stick pattern, CuKα. Input: a cell relaxed with PBE.
Peak positions follow from Bragg's law for the DFT cell and can differ from measured ones.

Top 10 peaks for 10 to 90 degrees two-theta, low angle first:
- d 4.022, I 46, (1 0 0)
- d 2.844, I 40, (1 1 0)
- d 2.322, I 100, (1 1 1)
- d 2.011, I 48, (2 0 0)
- d 1.799, I 22, (2 1 0)
- d 1.642, I 17, (2 1 1)
- d 1.422, I 30, (2 2 0)
- d 1.341, I 11, (3 0 0)
- d 1.213, I 35, (3 1 1)
- d 1.161, I 10, (2 2 2)

Cell and atoms:
Unit cell a=4.0225 b=4.0225 c=4.0225 alpha=90.00 beta=90.00 gamma=90.00
Space group Pm-3m (No. 221)
Inequivalent atoms, fractional coordinates:
1 Mn 0.0000 0.0000 0.5000 (multiplicity 3)
2 Tl 0.5000 0.5000 0.5000 (multiplicity 1)

# TmMn12
Computed X-ray diffraction stick pattern, CuKα. Input: a cell relaxed with PBE.
Peak positions follow from Bragg's law for the DFT cell and can differ from measured ones.

Top 10 peaks for 10 to 90 degrees two-theta, low angle first:
- d 2.894, I 46, (2 1 1)
- d 2.373, I 47, (3 0 1)
- d 2.313, I 17, (0 0 2)
- d 2.074, I 57, (4 0 0)
- d 2.060, I 100, (3 2 1)
- d 2.020, I 70, (2 0 2)
- d 1.816, I 18, (2 2 2)
- d 1.281, I 20, (3 2 3)
- d 1.195, I 18, (6 3 1)
- d 1.187, I 17, (6 0 2)

Cell and atoms:
Unit cell a=8.2958 b=8.2958 c=4.6251 alpha=90.00 beta=90.00 gamma=90.00
Space group I4/mmm (No. 139)
Inequivalent atoms, fractional coordinates:
1 Tm 0.0000 0.0000 0.0000 (multiplicity 2)
2 Mn 0.0000 0.2261 0.5000 (multiplicity 8)
3 Mn 0.0000 0.3616 0.0000 (multiplicity 8)
4 Mn 0.2500 0.2500 0.2500 (multiplicity 8)

# U6Mn
Computed X-ray diffraction stick pattern, CuKα. Input: a cell relaxed with PBE.
Peak positions follow from Bragg's law for the DFT cell and can differ from measured ones.

Top 10 peaks for 10 to 90 degrees two-theta, low angle first:
- d 2.650, I 28, (0 0 2)
- d 2.482, I 100, (3 2 1)
- d 1.986, I 12, (5 1 0)
- d 1.688, I 8, (6 0 0)
- d 1.589, I 13, (5 1 2)
- d 1.496, I 21, (3 2 3)
- d 1.432, I 7, (5 5 0)
- d 1.424, I 11, (6 0 2)
- d 1.260, I 12, (5 5 2)
- d 1.157, I 18, (8 3 1)

Cell and atoms:
Unit cell a=10.1285 b=10.1285 c=5.3009 alpha=90.00 beta=90.00 gamma=90.00
Space group I4/mcm (No. 140)
Inequivalent atoms, fractional coordinates:
1 U 0.0931 0.4069 0.0000 (multiplicity 8)
2 U 0.0979 0.2187 0.5000 (multiplicity 16)
3 Mn 0.0000 0.0000 0.2500 (multiplicity 4)

# MnV3
Computed X-ray diffraction stick pattern, CuKα. Input: a cell relaxed with PBE.
Peak positions follow from Bragg's law for the DFT cell and can differ from measured ones.

Top 3 peaks for 10 to 90 degrees two-theta, low angle first:
- d 2.072, I 100, (2 2 0)
- d 1.465, I 15, (4 0 0)
- d 1.197, I 28, (4 2 2)

Cell and atoms:
Unit cell a=5.8617 b=5.8617 c=5.8617 alpha=90.00 beta=90.00 gamma=90.00
Space group Fm-3m (No. 225)
Inequivalent atoms, fractional coordinates:
1 Mn 0.0000 0.0000 0.0000 (multiplicity 4)
2 V 0.0000 0.0000 0.5000 (multiplicity 4)
3 V 0.2500 0.2500 0.2500 (multiplicity 8)

# YMn12
Computed X-ray diffraction stick pattern, CuKα. Input: a cell relaxed with PBE.
Peak positions follow from Bragg's law for the DFT cell and can differ from measured ones.

Top 10 peaks for 10 to 90 degrees two-theta, low angle first:
- d 2.911, I 25, (2 1 1)
- d 2.381, I 39, (3 0 1)
- d 2.355, I 18, (0 0 2)
- d 2.070, I 69, (4 0 0)
- d 2.064, I 100, (3 2 1)
- d 2.047, I 83, (2 0 2)
- d 1.851, I 24, (4 2 0)
- d 1.847, I 27, (4 1 1)
- d 1.835, I 46, (2 2 2)
- d 1.296, I 20, (3 2 3)

Cell and atoms:
Unit cell a=8.2781 b=8.2781 c=4.7108 alpha=90.00 beta=90.00 gamma=90.00
Space group I4/mmm (No. 139)
Inequivalent atoms, fractional coordinates:
1 Y 0.0000 0.0000 0.0000 (multiplicity 2)
2 Mn 0.0000 0.2296 0.5000 (multiplicity 8)
3 Mn 0.0000 0.3654 0.0000 (multiplicity 8)
4 Mn 0.2500 0.2500 0.2500 (multiplicity 8)

# MnZn3
Computed X-ray diffraction stick pattern, CuKα. Input: a cell relaxed with PBE.
Peak positions follow from Bragg's law for the DFT cell and can differ from measured ones.

Top 10 peaks for 10 to 90 degrees two-theta, low angle first:
- d 2.975, I 1, (0 0 9)
- d 2.233, I 100, (1 0 4)
- d 2.167, I 1, (0 1 5)
- d 1.934, I 47, (0 1 8)
- d 1.554, I 1, (1 0 13)
- d 1.368, I 28, (1 1 0)
- d 1.312, I 1, (0 1 17)
- d 1.166, I 32, (0 2 4)
- d 1.117, I 7, (2 0 8)
- d 1.116, I 2, (0 0 24)

Cell and atoms:
Unit cell a=2.7363 b=2.7363 c=26.7737 alpha=90.00 beta=90.00 gamma=120.00
Space group R-3m (No. 166, hexagonal axes)
Inequivalent atoms, fractional coordinates:
1 Mn 0.0000 0.0000 0.0000 (multiplicity 3)
2 Zn 0.0000 0.0000 0.2532 (multiplicity 6)
3 Zn 0.0000 0.0000 0.5000 (multiplicity 3)

# MnZn
Computed X-ray diffraction stick pattern, CuKα. Input: a cell relaxed with PBE.
Peak positions follow from Bragg's law for the DFT cell and can differ from measured ones.

Top 6 peaks for 10 to 90 degrees two-theta, low angle first:
- d 2.999, I 2, (1 0 0)
- d 2.121, I 100, (1 1 0)
- d 1.732, I 1, (1 1 1)
- d 1.500, I 15, (2 0 0)
- d 1.341, I 1, (2 1 0)
- d 1.224, I 29, (2 1 1)

Cell and atoms:
Unit cell a=2.9992 b=2.9992 c=2.9992 alpha=90.00 beta=90.00 gamma=90.00
Space group Pm-3m (No. 221)
Inequivalent atoms, fractional coordinates:
1 Mn 0.0000 0.0000 0.0000 (multiplicity 1)
2 Zn 0.5000 0.5000 0.5000 (multiplicity 1)

# MnZn3
Computed X-ray diffraction stick pattern, CuKα. Input: a cell relaxed with PBE.
Peak positions follow from Bragg's law for the DFT cell and can differ from measured ones.

Top 8 peaks for 10 to 90 degrees two-theta, low angle first:
- d 3.825, I 1, (1 0 0)
- d 2.705, I 1, (1 1 0)
- d 2.209, I 100, (1 1 1)
- d 1.913, I 47, (2 0 0)
- d 1.711, I 1, (2 1 0)
- d 1.352, I 28, (2 2 0)
- d 1.153, I 33, (3 1 1)
- d 1.104, I 10, (2 2 2)

Cell and atoms:
Unit cell a=3.8253 b=3.8253 c=3.8253 alpha=90.00 beta=90.00 gamma=90.00
Space group Pm-3m (No. 221)
Inequivalent atoms, fractional coordinates:
1 Mn 0.0000 0.0000 0.0000 (multiplicity 1)
2 Zn 0.0000 0.5000 0.5000 (multiplicity 3)

# MnZn
Computed X-ray diffraction stick pattern, CuKα. Input: a cell relaxed with PBE.
Peak positions follow from Bragg's law for the DFT cell and can differ from measured ones.

Top 10 peaks for 10 to 90 degrees two-theta, low angle first:
- d 2.288, I 25, (1 0 0)
- d 2.200, I 29, (0 0 2)
- d 2.030, I 100, (1 0 1)
- d 1.586, I 15, (1 0 2)
- d 1.321, I 15, (1 1 0)
- d 1.235, I 17, (1 0 3)
- d 1.144, I 2, (2 0 0)
- d 1.132, I 17, (1 1 2)
- d 1.107, I 12, (2 0 1)
- d 1.100, I 3, (0 0 4)

Cell and atoms:
Unit cell a=2.6415 b=2.6415 c=4.4009 alpha=90.00 beta=90.00 gamma=120.00
Space group P-6m2 (No. 187)
Inequivalent atoms, fractional coordinates:
1 Mn 0.0000 0.0000 0.0000 (multiplicity 1)
2 Zn 0.6667 0.3333 0.5000 (multiplicity 1)

Please write out number 4 again, unchanged.
# TmMn12
Computed X-ray diffraction stick pattern, CuKα. Input: a cell relaxed with PBE.
Peak positions follow from Bragg's law for the DFT cell and can differ from measured ones.

Top 10 peaks for 10 to 90 degrees two-theta, low angle first:
- d 2.894, I 46, (2 1 1)
- d 2.373, I 47, (3 0 1)
- d 2.313, I 17, (0 0 2)
- d 2.074, I 57, (4 0 0)
- d 2.060, I 100, (3 2 1)
- d 2.020, I 70, (2 0 2)
- d 1.816, I 18, (2 2 2)
- d 1.281, I 20, (3 2 3)
- d 1.195, I 18, (6 3 1)
- d 1.187, I 17, (6 0 2)

Cell and atoms:
Unit cell a=8.2958 b=8.2958 c=4.6251 alpha=90.00 beta=90.00 gamma=90.00
Space group I4/mmm (No. 139)
Inequivalent atoms, fractional coordinates:
1 Tm 0.0000 0.0000 0.0000 (multiplicity 2)
2 Mn 0.0000 0.2261 0.5000 (multiplicity 8)
3 Mn 0.0000 0.3616 0.0000 (multiplicity 8)
4 Mn 0.2500 0.2500 0.2500 (multiplicity 8)

Repeat the eleventh record exactly.
# MnZn
Computed X-ray diffraction stick pattern, CuKα. Input: a cell relaxed with PBE.
Peak positions follow from Bragg's law for the DFT cell and can differ from measured ones.

Top 10 peaks for 10 to 90 degrees two-theta, low angle first:
- d 2.288, I 25, (1 0 0)
- d 2.200, I 29, (0 0 2)
- d 2.030, I 100, (1 0 1)
- d 1.586, I 15, (1 0 2)
- d 1.321, I 15, (1 1 0)
- d 1.235, I 17, (1 0 3)
- d 1.144, I 2, (2 0 0)
- d 1.132, I 17, (1 1 2)
- d 1.107, I 12, (2 0 1)
- d 1.100, I 3, (0 0 4)

Cell and atoms:
Unit cell a=2.6415 b=2.6415 c=4.4009 alpha=90.00 beta=90.00 gamma=120.00
Space group P-6m2 (No. 187)
Inequivalent atoms, fractional coordinates:
1 Mn 0.0000 0.0000 0.0000 (multiplicity 1)
2 Zn 0.6667 0.3333 0.5000 (multiplicity 1)